For LiAg2WF8, a structure optimized by DFT (GGA+U) gives the calculated powder XRD pattern in this record (Cu Kα (weighted mean of Kα1 and Kα2)).

Structure:
```
LiAg2WF8
1.0
5.2296 0.0000 0.0000
0.6496 5.2522 0.0000
0.6534 0.6120 7.1977
Li Ag W F
1 2 1 8
Direct
0.0000 0.0000 0.0000
0.4556 0.4458 0.7952
0.5444 0.5542 0.2048
0.0000 0.0000 0.5000
0.1192 0.1662 0.7026
0.1567 0.2256 0.3156
0.2750 0.7589 0.9853
0.3117 0.7512 0.4966
0.6883 0.2488 0.5034
0.7250 0.2411 0.0147
0.8433 0.7744 0.6844
0.8808 0.8338 0.2974
```

The 8 most intense peaks (10 to 90 degrees two-theta), low angle first:
d = 7.198 Å, 2θ = 12.3°, I = 47; d = 4.072 Å, 2θ = 21.8°, I = 62; d = 4.051 Å, 2θ = 21.9°, I = 60; d = 3.911 Å, 2θ = 22.7°, I = 100; d = 3.484 Å, 2θ = 25.6°, I = 75; d = 3.090 Å, 2θ = 28.9°, I = 49; d = 3.071 Å, 2θ = 29.1°, I = 42; d = 2.853 Å, 2θ = 31.4°, I = 42